# 1
For HoMgZn2Au4, a crystal structure in Alexandria, relaxed with PBE gives the calculated X-ray diffraction stick pattern in this record (Cu Ka).

Most intense lines, 2θ = 10–80°, by angle:
| 2θ/deg | Rel. int. |
| --- | --- |
| 26.76 | 40 |
| 34.38 | 13 |
| 37.39 | 97 |
| 39.01 | 100 |
| 55.14 | 32 |
| 66.35 | 11 |
| 69.60 | 32 |
| 70.66 | 18 |

a b c (Å): 8.4591 8.4591 8.4591
angles (deg): 31.68 31.68 31.68
Element x y z (fractional)
Ho: 0.0000 0.0000 0.0000
Mg: 0.5000 0.5000 0.5000
Zn: 0.2487 0.2487 0.2487
Zn: 0.7513 0.7513 0.7513
Au: 0.1274 0.1274 0.1274
Au: 0.3876 0.3876 0.3876
Au: 0.6124 0.6124 0.6124
Au: 0.8726 0.8726 0.8726

# 2
For NaHoPbAu, a crystal structure in Alexandria, relaxed with PBE gives the calculated X-ray diffraction stick pattern in this record (Cu Ka).

Most intense lines, 2θ = 10–80°, by angle:
| 2θ/deg | Rel. int. |
| --- | --- |
| 21.07 | 13 |
| 24.38 | 16 |
| 34.74 | 100 |
| 40.99 | 7 |
| 49.95 | 18 |
| 56.34 | 7 |
| 62.28 | 38 |
| 73.33 | 12 |

a b c (Å): 5.1641 5.1641 5.1641
angles (deg): 60.00 60.00 60.00
Element x y z (fractional)
Na: 0.0000 0.0000 0.0000
Ho: 0.5000 0.5000 0.5000
Pb: 0.2500 0.2500 0.2500
Au: 0.7500 0.7500 0.7500

# 3
For NdHo2Au2, a crystal structure in Alexandria, relaxed with PBE gives the calculated X-ray diffraction stick pattern in this record (Cu Ka).

Most intense lines, 2θ = 10–80°, by angle:
| 2θ/deg | Rel. int. |
| --- | --- |
| 15.18 | 10 |
| 32.06 | 14 |
| 33.90 | 100 |
| 34.36 | 46 |
| 46.34 | 11 |
| 47.99 | 12 |
| 60.35 | 19 |
| 65.72 | 19 |

a b c (Å): 8.2527 8.2527 3.7913
angles (deg): 90.00 90.00 90.00
Element x y z (fractional)
Nd: 0.0000 0.0000 0.0000
Nd: 0.5000 0.5000 0.0000
Ho: 0.1613 0.3387 0.5000
Ho: 0.3387 0.8387 0.5000
Ho: 0.6613 0.1613 0.5000
Ho: 0.8387 0.6613 0.5000
Au: 0.1306 0.6306 0.0000
Au: 0.3694 0.1306 0.0000
Au: 0.6306 0.8694 0.0000
Au: 0.8694 0.3694 0.0000

# 4
For HoNi4Au8, a crystal structure in Alexandria, relaxed with PBE gives the calculated X-ray diffraction stick pattern in this record (Cu Ka).

Most intense lines, 2θ = 10–80°, by angle:
| 2θ/deg | Rel. int. |
| --- | --- |
| 27.85 | 25 |
| 33.83 | 32 |
| 34.17 | 34 |
| 39.72 | 100 |
| 44.37 | 44 |
| 44.66 | 26 |
| 64.48 | 16 |
| 72.16 | 24 |

a b c (Å): 6.9338 6.9338 6.9338
angles (deg): 98.40 98.40 135.07
Element x y z (fractional)
Ho: 0.0000 0.0000 0.0000
Ni: 0.0000 0.0000 0.5000
Ni: 0.0000 0.5000 0.0000
Ni: 0.5000 0.0000 0.0000
Ni: 0.5000 0.5000 0.5000
Au: 0.0000 0.3307 0.3307
Au: 0.0000 0.6693 0.6693
Au: 0.2805 0.5000 0.7805
Au: 0.3307 0.0000 0.3307
Au: 0.5000 0.2805 0.7805
Au: 0.5000 0.7195 0.2195
Au: 0.6693 0.0000 0.6693
Au: 0.7195 0.5000 0.2195

# 5
For Ho4Ni3Au, a crystal structure in Alexandria, relaxed with PBE gives the calculated X-ray diffraction stick pattern in this record (Cu Ka).

Most intense lines, 2θ = 10–80°, by angle:
| 2θ/deg | Rel. int. |
| --- | --- |
| 32.75 | 100 |
| 35.29 | 23 |
| 35.87 | 32 |
| 40.97 | 52 |
| 41.49 | 52 |
| 55.57 | 24 |
| 65.80 | 25 |
| 69.44 | 23 |

a b c (Å): 3.7115 4.4065 10.1730
angles (deg): 90.00 90.00 90.00
Element x y z (fractional)
Ho: 0.0000 0.0000 0.0000
Ho: 0.0000 0.5000 0.2652
Ho: 0.5000 0.0000 0.4763
Ho: 0.5000 0.5000 0.7726
Ni: 0.0000 0.5000 0.5442
Ni: 0.5000 0.0000 0.2014
Ni: 0.5000 0.5000 0.0561
Au: 0.0000 0.0000 0.7052

# 6
For Ho4NiAu3, a crystal structure in Alexandria, relaxed with PBE gives the calculated X-ray diffraction stick pattern in this record (Cu Ka).

Most intense lines, 2θ = 10–80°, by angle:
| 2θ/deg | Rel. int. |
| --- | --- |
| 32.01 | 100 |
| 33.67 | 28 |
| 34.93 | 17 |
| 39.05 | 60 |
| 40.18 | 72 |
| 48.92 | 19 |
| 64.30 | 28 |
| 66.36 | 23 |

a b c (Å): 3.7234 4.6150 10.6462
angles (deg): 90.00 90.00 90.00
Element x y z (fractional)
Ho: 0.0000 0.0000 0.0000
Ho: 0.0000 0.5000 0.2631
Ho: 0.5000 0.0000 0.4743
Ho: 0.5000 0.5000 0.7689
Ni: 0.5000 0.0000 0.2084
Au: 0.0000 0.0000 0.7168
Au: 0.0000 0.5000 0.5383
Au: 0.5000 0.5000 0.0479

# 7
For PmHoAu2O8, a crystal structure in Alexandria, relaxed with PBE gives the calculated X-ray diffraction stick pattern in this record (Cu Ka).

Most intense lines, 2θ = 10–80°, by angle:
| 2θ/deg | Rel. int. |
| --- | --- |
| 28.96 | 100 |
| 33.38 | 23 |
| 33.93 | 11 |
| 47.93 | 17 |
| 48.34 | 34 |
| 56.97 | 31 |
| 57.71 | 15 |
| 78.21 | 12 |

a b c (Å): 6.5058 6.5058 6.5058
angles (deg): 131.26 131.26 71.40
Element x y z (fractional)
Pm: 0.0000 0.0000 0.0000
Ho: 0.7500 0.2500 0.5000
Au: 0.2500 0.7500 0.5000
Au: 0.5000 0.5000 0.0000
O: 0.1428 0.1293 0.5267
O: 0.1428 0.6161 0.0135
O: 0.3839 0.3974 0.5267
O: 0.3839 0.8572 0.9865
O: 0.6026 0.1293 0.9865
O: 0.6026 0.6161 0.4733
O: 0.8707 0.3974 0.0135
O: 0.8707 0.8572 0.4733

# 8
For Ho4TlAuO, a crystal structure in Alexandria, relaxed with PBE gives the calculated X-ray diffraction stick pattern in this record (Cu Ka).

Most intense lines, 2θ = 10–80°, by angle:
| 2θ/deg | Rel. int. |
| --- | --- |
| 27.00 | 31 |
| 29.47 | 84 |
| 35.09 | 40 |
| 35.95 | 100 |
| 38.56 | 79 |
| 53.12 | 25 |
| 53.23 | 28 |
| 68.08 | 32 |

a b c (Å): 8.3221 8.3221 6.6086
angles (deg): 90.00 90.00 133.29
Element x y z (fractional)
Ho: 0.0000 0.5000 0.0000
Ho: 0.0000 0.5000 0.5000
Ho: 0.0620 0.9380 0.7500
Ho: 0.4190 0.5810 0.7500
Ho: 0.5000 0.0000 0.0000
Ho: 0.5000 0.0000 0.5000
Ho: 0.5810 0.4190 0.2500
Ho: 0.9380 0.0620 0.2500
Tl: 0.3856 0.6144 0.2500
Tl: 0.6144 0.3856 0.7500
Au: 0.1219 0.8781 0.2500
Au: 0.8781 0.1219 0.7500
O: 0.2583 0.7417 0.7500
O: 0.7417 0.2583 0.2500

# 9
For HoPaPdAu, a crystal structure in Alexandria, relaxed with PBE gives the calculated X-ray diffraction stick pattern in this record (Cu Ka).

Most intense lines, 2θ = 10–80°, by angle:
| 2θ/deg | Rel. int. |
| --- | --- |
| 21.62 | 5 |
| 25.01 | 2 |
| 35.66 | 100 |
| 42.09 | 3 |
| 51.33 | 18 |
| 56.32 | 1 |
| 64.07 | 37 |
| 75.53 | 12 |

a b c (Å): 5.0349 5.0349 5.0349
angles (deg): 60.00 60.00 60.00
Element x y z (fractional)
Ho: 0.0000 0.0000 0.0000
Pa: 0.5000 0.5000 0.5000
Pd: 0.2500 0.2500 0.2500
Au: 0.7500 0.7500 0.7500

# 10
For HoPd2Au2, a crystal structure in Alexandria, relaxed with PBE gives the calculated X-ray diffraction stick pattern in this record (Cu Ka).

Most intense lines, 2θ = 10–80°, by angle:
| 2θ/deg | Rel. int. |
| --- | --- |
| 35.96 | 63 |
| 36.20 | 61 |
| 39.14 | 100 |
| 39.58 | 95 |
| 51.95 | 43 |
| 66.77 | 41 |
| 67.08 | 20 |
| 67.68 | 19 |

a b c (Å): 4.6590 4.6590 5.1238
angles (deg): 108.37 108.37 64.82
Element x y z (fractional)
Ho: 0.0000 0.0000 0.0000
Pd: 0.2064 0.2064 0.6129
Pd: 0.7936 0.7936 0.3871
Au: 0.4039 0.4039 0.2152
Au: 0.5961 0.5961 0.7848

# 11
For HoPd4Au3, a crystal structure in Alexandria, relaxed with PBE gives the calculated X-ray diffraction stick pattern in this record (Cu Ka).

Most intense lines, 2θ = 10–80°, by angle:
| 2θ/deg | Rel. int. |
| --- | --- |
| 36.23 | 27 |
| 37.74 | 22 |
| 38.28 | 41 |
| 39.97 | 100 |
| 41.37 | 18 |
| 45.64 | 14 |
| 70.34 | 20 |
| 77.67 | 16 |

a b c (Å): 9.4057 6.0260 4.9275
angles (deg): 90.00 90.00 90.00
Element x y z (fractional)
Ho: 0.0000 0.0000 0.0000
Ho: 0.5000 0.0000 0.0000
Pd: 0.0000 0.2529 0.5000
Pd: 0.0000 0.7471 0.5000
Pd: 0.2500 0.2578 0.1396
Pd: 0.2500 0.7422 0.1396
Pd: 0.5000 0.2529 0.5000
Pd: 0.5000 0.7471 0.5000
Pd: 0.7500 0.2578 0.8604
Pd: 0.7500 0.7422 0.8604
Au: 0.0000 0.5000 0.0000
Au: 0.2500 0.0000 0.6120
Au: 0.2500 0.5000 0.6429
Au: 0.5000 0.5000 0.0000
Au: 0.7500 0.0000 0.3880
Au: 0.7500 0.5000 0.3571

# 12
For HoPdAu4, a crystal structure in Alexandria, relaxed with PBE gives the calculated X-ray diffraction stick pattern in this record (Cu Ka).

Most intense lines, 2θ = 10–80°, by angle:
| 2θ/deg | Rel. int. |
| --- | --- |
| 33.96 | 30 |
| 35.72 | 35 |
| 37.89 | 100 |
| 38.15 | 66 |
| 38.61 | 28 |
| 39.57 | 73 |
| 40.56 | 38 |
| 40.90 | 50 |

a b c (Å): 5.2990 5.5006 8.2053
angles (deg): 76.47 89.90 89.24
Element x y z (fractional)
Ho: 0.1065 0.2340 0.2545
Ho: 0.8935 0.7660 0.7455
Pd: 0.4336 0.9643 0.8222
Pd: 0.5664 0.0357 0.1778
Au: 0.1247 0.2923 0.6020
Au: 0.1372 0.7784 0.0919
Au: 0.3558 0.4412 0.8764
Au: 0.3731 0.7739 0.5183
Au: 0.6269 0.2261 0.4817
Au: 0.6442 0.5588 0.1236
Au: 0.8628 0.2216 0.9081
Au: 0.8753 0.7077 0.3980